# 1
HoTmTi4: simulated PXRD pattern (CuKα), based on a structure optimized by DFT (PBE).
Kinematic intensities with the Lorentz-polarization factor, no thermal factor.

Most intense lines, 10° ≤ 2θ ≤ 80°, low angle first:
| two_theta | I_rel |
| --- | --- |
| 18.82 | 29 |
| 30.97 | 78 |
| 36.49 | 100 |
| 55.09 | 31 |
| 58.75 | 32 |
| 64.55 | 22 |

Cell and atoms:
Unit cell a=5.7749 b=5.7749 c=5.7749 alpha=60.00 beta=60.00 gamma=60.00
Fractional coordinates of all 6 atoms:
Ho  0.0000  0.0000  0.0000
Tm  0.7500  0.7500  0.7500
Ti  0.3753  0.3753  0.3753
Ti  0.3753  0.3753  0.8742
Ti  0.3753  0.8742  0.3753
Ti  0.8742  0.3753  0.3753

# 2
Mg4Cd5Pd2: simulated PXRD pattern (CuKα), based on a structure optimized by DFT (PBE).
Kinematic intensities with the Lorentz-polarization factor, no thermal factor.

Most intense lines, 10° ≤ 2θ ≤ 80°, low angle first:
| two_theta | I_rel |
| --- | --- |
| 22.50 | 47 |
| 28.77 | 100 |
| 36.83 | 59 |
| 37.59 | 43 |
| 37.84 | 41 |
| 39.01 | 42 |

Cell and atoms:
Unit cell a=7.5465 b=3.1026 c=9.5687 alpha=90.00 beta=92.74 gamma=90.00
Fractional coordinates of all 11 atoms:
Mg  0.1789  0.0000  0.3659
Mg  0.2085  0.0000  0.9397
Mg  0.7915  0.0000  0.0603
Mg  0.8211  0.0000  0.6341
Cd  0.1813  0.5000  0.6541
Cd  0.4569  0.5000  0.1665
Cd  0.5000  0.5000  0.5000
Cd  0.5431  0.5000  0.8335
Cd  0.8187  0.5000  0.3459
Pd  0.0792  0.5000  0.1455
Pd  0.9208  0.5000  0.8545

# 3
Pu5Te4As: simulated PXRD pattern (CuKα), based on a structure optimized by DFT (PBE).
Kinematic intensities with the Lorentz-polarization factor, no thermal factor.

Most intense lines, 10° ≤ 2θ ≤ 80°, low angle first:
| two_theta | I_rel |
| --- | --- |
| 24.85 | 22 |
| 28.77 | 100 |
| 41.13 | 76 |
| 50.97 | 27 |
| 67.48 | 33 |
| 74.96 | 24 |

Cell and atoms:
Unit cell a=7.6013 b=7.6013 c=7.6013 alpha=99.60 beta=99.60 gamma=131.79
Fractional coordinates of all 10 atoms:
Pu  0.0000  0.0000  0.0000
Pu  0.2162  0.5966  0.8145
Pu  0.4017  0.2162  0.6196
Pu  0.5966  0.7821  0.3804
Pu  0.7821  0.4017  0.1855
Te  0.0926  0.3031  0.3974
Te  0.3031  0.9057  0.2104
Te  0.6952  0.0926  0.7896
Te  0.9057  0.6952  0.6026
As  0.5000  0.5000  0.0000

# 4
Ac3MgSn6Pd2: simulated PXRD pattern (CuKα), based on a structure optimized by DFT (PBE).
Kinematic intensities with the Lorentz-polarization factor, no thermal factor.

Most intense lines, 10° ≤ 2θ ≤ 80°, low angle first:
| two_theta | I_rel |
| --- | --- |
| 18.06 | 45 |
| 24.13 | 53 |
| 27.09 | 53 |
| 32.76 | 100 |
| 32.92 | 81 |
| 36.60 | 71 |

Cell and atoms:
Unit cell a=6.5825 b=6.5825 c=9.6713 alpha=90.00 beta=90.00 gamma=120.00
Fractional coordinates of all 12 atoms:
Ac  0.0000  0.0000  0.0000
Ac  0.3333  0.6667  0.6010
Ac  0.6667  0.3333  0.3990
Mg  0.0000  0.0000  0.5000
Sn  0.1792  0.3584  0.2760
Sn  0.1792  0.8208  0.2760
Sn  0.3584  0.1792  0.7240
Sn  0.6416  0.8208  0.2760
Sn  0.8208  0.1792  0.7240
Sn  0.8208  0.6416  0.7240
Pd  0.3333  0.6667  0.0579
Pd  0.6667  0.3333  0.9421

# 5
HgGe4I8: simulated PXRD pattern (CuKα), based on a structure optimized by DFT (PBE).
Kinematic intensities with the Lorentz-polarization factor, no thermal factor.

Most intense lines, 10° ≤ 2θ ≤ 80°, low angle first:
| two_theta | I_rel |
| --- | --- |
| 25.58 | 83 |
| 30.00 | 100 |
| 36.27 | 20 |
| 42.11 | 41 |
| 43.74 | 35 |
| 52.57 | 21 |

Cell and atoms:
Unit cell a=8.5828 b=8.5828 c=12.4308 alpha=121.18 beta=121.18 gamma=59.99
Fractional coordinates of all 13 atoms:
Hg  0.0000  0.0000  0.0000
Ge  0.2503  0.2503  0.5004
Ge  0.2507  0.7493  0.5000
Ge  0.7493  0.2507  0.5000
Ge  0.7497  0.7497  0.4996
I  0.1714  0.1714  0.6756
I  0.1719  0.6707  0.6755
I  0.3293  0.3293  0.3240
I  0.3293  0.8281  0.3245
I  0.6707  0.1719  0.6755
I  0.6707  0.6707  0.6760
I  0.8281  0.3293  0.3245
I  0.8286  0.8286  0.3244

# 6
Dy3Tm4S8: simulated PXRD pattern (CuKα), based on a structure optimized by DFT (PBE).
Kinematic intensities with the Lorentz-polarization factor, no thermal factor.

Most intense lines, 10° ≤ 2θ ≤ 80°, low angle first:
| two_theta | I_rel |
| --- | --- |
| 28.28 | 75 |
| 32.77 | 100 |
| 47.02 | 72 |
| 55.78 | 37 |
| 58.50 | 25 |
| 78.19 | 21 |

Cell and atoms:
Unit cell a=7.7284 b=7.7284 c=7.7220 alpha=119.95 beta=119.95 gamma=90.02
Fractional coordinates of all 15 atoms:
Dy  0.0000  0.0000  0.0000
Dy  0.0000  0.5000  0.0000
Dy  0.5000  0.0000  0.0000
Tm  0.0000  0.5000  0.5000
Tm  0.5000  0.0000  0.5000
Tm  0.5000  0.5000  0.0000
Tm  0.5000  0.5000  0.5000
S  0.2504  0.7496  0.5000
S  0.2521  0.2521  0.5038
S  0.2519  0.7481  0.0000
S  0.2525  0.2525  0.0012
S  0.7475  0.7475  0.9988
S  0.7481  0.2519  0.0000
S  0.7479  0.7479  0.4962
S  0.7496  0.2504  0.5000

What did the second record say?
Mg4Cd5Pd2: simulated PXRD pattern (CuKα), based on a structure optimized by DFT (PBE).
Kinematic intensities with the Lorentz-polarization factor, no thermal factor.

Most intense lines, 10° ≤ 2θ ≤ 80°, low angle first:
| two_theta | I_rel |
| --- | --- |
| 22.50 | 47 |
| 28.77 | 100 |
| 36.83 | 59 |
| 37.59 | 43 |
| 37.84 | 41 |
| 39.01 | 42 |

Cell and atoms:
Unit cell a=7.5465 b=3.1026 c=9.5687 alpha=90.00 beta=92.74 gamma=90.00
Fractional coordinates of all 11 atoms:
Mg  0.1789  0.0000  0.3659
Mg  0.2085  0.0000  0.9397
Mg  0.7915  0.0000  0.0603
Mg  0.8211  0.0000  0.6341
Cd  0.1813  0.5000  0.6541
Cd  0.4569  0.5000  0.1665
Cd  0.5000  0.5000  0.5000
Cd  0.5431  0.5000  0.8335
Cd  0.8187  0.5000  0.3459
Pd  0.0792  0.5000  0.1455
Pd  0.9208  0.5000  0.8545